# 1
Calculated X-ray diffraction stick pattern
Compound: BaLaMn2O6
Radiation: Cu Kα X-rays
Structure: a cell relaxed with PBE+U
Lines closer than 0.1° are merged.

Atomic structure:
```
data_BaLaMn2O6
_chemical_formula_sum 'Ba4 La4 Mn8 O24'
_cell_length_a 7.713
_cell_length_b 8.011
_cell_length_c 8.030
_cell_angle_alpha 90.00
_cell_angle_beta 90.00
_cell_angle_gamma 90.00
_symmetry_space_group_name_H-M 'F 2 2 2'
_symmetry_Int_Tables_number 22
_symmetry_space_group_name_Hall 'F 2 2'
loop_
_atom_site_label
_atom_site_type_symbol
_atom_site_fract_x
_atom_site_fract_y
_atom_site_fract_z
_atom_site_occupancy
Ba1 Ba 0.000 0.000 0.000 1
La1 La 0.000 0.000 0.500 1
Mn1 Mn 0.250 0.250 0.250 1
Mn2 Mn 0.250 0.250 0.750 1
O1 O 0.002 0.250 0.750 1
O2 O 0.250 0.010 0.250 1
O3 O 0.250 0.250 0.010 1
```

Main lines, most intense first (10 to 80 degrees two-theta):
two_theta	d/Å	Rel. int.	(hkl)
32.20	2.780	100	2 2 0
31.55	2.836	53	0 2 2
56.60	1.626	40	2 4 2
39.44	2.285	30	2 2 2
67.38	1.390	19	4 4 0
57.83	1.594	19	4 2 2
45.16	2.008	18	0 0 4
45.28	2.003	18	0 4 0
47.13	1.928	16	4 0 0
22.17	4.010	14	0 2 0

=====

# 2
Calculated X-ray diffraction stick pattern
Compound: BaLaMn2O6
Radiation: Cu Kα X-rays
Structure: a cell relaxed with PBE+U
Lines closer than 0.1° are merged.

Atomic structure:
```
data_BaLaMn2O6
_chemical_formula_sum 'Ba4 La4 Mn8 O24'
_cell_length_a 9.654
_cell_length_b 5.709
_cell_length_c 9.645
_cell_angle_alpha 90.00
_cell_angle_beta 108.11
_cell_angle_gamma 90.00
_symmetry_space_group_name_H-M 'C 1 c 1'
_symmetry_Int_Tables_number 9
_symmetry_space_group_name_Hall 'C -2yc'
loop_
_atom_site_label
_atom_site_type_symbol
_atom_site_fract_x
_atom_site_fract_y
_atom_site_fract_z
_atom_site_occupancy
Ba1 Ba 0.000 0.239 0.000 1
La1 La 0.250 0.223 0.754 1
Mn1 Mn 0.126 0.258 0.376 1
Mn2 Mn 0.376 0.242 0.125 1
O1 O 0.032 0.272 0.532 1
O2 O 0.238 0.230 0.235 1
O3 O 0.255 0.019 0.491 1
O4 O 0.265 0.445 0.977 1
O5 O 0.480 0.023 0.756 1
O6 O 0.482 0.484 0.247 1
```

Main lines, most intense first (10 to 80 degrees two-theta):
two_theta	d/Å	Rel. int.	(hkl)
31.94	2.802	100	3 1 -1
45.10	2.010	32	2 2 2
31.34	2.855	26	0 2 0
31.59	2.832	25	2 0 2
56.48	1.629	21	1 1 5
56.16	1.638	18	1 3 -3
46.50	1.953	15	4 0 -4
22.11	4.021	14	1 1 1
39.29	2.293	14	0 0 4
39.08	2.305	13	2 2 -2

=====

# 3
Calculated X-ray diffraction stick pattern
Compound: BaLaMn2O6
Radiation: Cu Kα X-rays
Structure: a cell relaxed with PBE+U
Lines closer than 0.1° are merged.

Atomic structure:
```
data_BaLaMn2O6
_chemical_formula_sum 'Ba2 La2 Mn4 O12'
_cell_length_a 5.498
_cell_length_b 5.498
_cell_length_c 8.162
_cell_angle_alpha 90.00
_cell_angle_beta 90.00
_cell_angle_gamma 90.00
_symmetry_space_group_name_H-M 'I 4/m m m'
_symmetry_Int_Tables_number 139
_symmetry_space_group_name_Hall '-I 4 2'
loop_
_atom_site_label
_atom_site_type_symbol
_atom_site_fract_x
_atom_site_fract_y
_atom_site_fract_z
_atom_site_occupancy
Ba1 Ba 0.000 0.000 0.000 1
La1 La 0.000 0.000 0.500 1
Mn1 Mn 0.000 0.500 0.250 1
O1 O 0.000 0.500 0.000 1
O2 O 0.250 0.250 0.250 1
```

Main lines, most intense first (10 to 80 degrees two-theta):
two_theta	d/Å	Rel. int.	(hkl)
31.79	2.815	100	1 1 2
32.57	2.749	47	2 0 0
57.63	1.600	36	3 1 2
46.73	1.944	31	2 2 0
39.53	2.280	29	2 0 2
66.43	1.407	20	2 2 4
56.14	1.638	20	2 0 4
44.40	2.040	18	0 0 4
22.87	3.888	13	1 1 0
68.23	1.375	9	4 0 0

=====

# 4
Calculated X-ray diffraction stick pattern
Compound: BaLaPrMn3O9
Radiation: Cu Kα X-rays
Structure: a cell relaxed with PBE+U
Lines closer than 0.1° are merged.

Atomic structure:
```
data_BaLaPrMn3O9
_chemical_formula_sum 'Ba2 La2 Pr2 Mn6 O18'
_cell_length_a 5.6354
_cell_length_b 5.6354
_cell_length_c 13.5652
_cell_angle_alpha 90.00
_cell_angle_beta 90.00
_cell_angle_gamma 120.00
_symmetry_space_group_name_H-M 'P 3 2 1'
_symmetry_Int_Tables_number 150
_symmetry_space_group_name_Hall 'P 3 2"'
loop_
_atom_site_label
_atom_site_type_symbol
_atom_site_fract_x
_atom_site_fract_y
_atom_site_fract_z
_atom_site_occupancy
Ba1 Ba 0.0000 0.0000 0.0000 1
Ba2 Ba 0.0000 0.0000 0.5000 1
La1 La 0.3333 0.6667 0.1681 1
Pr1 Pr 0.3333 0.6667 0.6678 1
Mn1 Mn 0.0000 0.0000 0.2503 1
Mn2 Mn 0.3333 0.6667 0.4168 1
Mn3 Mn 0.3333 0.6667 0.9166 1
O1 O 0.0000 0.4774 0.0000 1
O2 O 0.0000 0.5237 0.5000 1
O3 O 0.1082 0.3423 0.3269 1
O4 O 0.1126 0.7696 0.8259 1
```

Main lines, most intense first (10 to 80 degrees two-theta):
two_theta	d/Å	Rel. int.	(hkl)
32.14	2.785	100	1 0 4
31.76	2.818	99	1 1 0
45.81	1.981	63	0 2 4
56.82	1.620	40	2 1 4
22.44	3.961	31	0 1 2
39.24	2.296	28	2 0 2
56.57	1.627	22	3 0 0
57.54	1.602	19	0 1 8
67.23	1.392	18	2 0 8
66.35	1.409	17	2 2 0

=====

# 5
Calculated X-ray diffraction stick pattern
Compound: BaLaMnRuO6
Radiation: Cu Kα X-rays
Structure: a cell relaxed with PBE+U
Lines closer than 0.1° are merged.

Atomic structure:
```
data_BaLaMnRuO6
_chemical_formula_sum 'Ba2 La2 Mn2 Ru2 O12'
_cell_length_a 5.782
_cell_length_b 5.777
_cell_length_c 9.909
_cell_angle_alpha 90.00
_cell_angle_beta 125.06
_cell_angle_gamma 90.00
_symmetry_space_group_name_H-M 'P 1 c 1'
_symmetry_Int_Tables_number 7
_symmetry_space_group_name_Hall 'P -2yc'
loop_
_atom_site_label
_atom_site_type_symbol
_atom_site_fract_x
_atom_site_fract_y
_atom_site_fract_z
_atom_site_occupancy
Ba1 Ba 0.000 0.249 0.000 1
La1 La 0.518 0.261 0.500 1
Mn1 Mn 0.252 0.247 0.748 1
Ru1 Ru 0.749 0.250 0.250 1
O1 O 0.087 0.249 0.490 1
O2 O 0.463 0.260 0.010 1
O3 O 0.534 0.026 0.295 1
O4 O 0.538 0.481 0.293 1
O5 O 0.926 0.014 0.710 1
O6 O 0.938 0.492 0.714 1
```

Main lines, most intense first (10 to 80 degrees two-theta):
two_theta	d/Å	Rel. int.	(hkl)
30.94	2.890	100	1 1 1
31.19	2.867	50	1 1 -3
44.33	2.043	30	2 2 -2
55.35	1.660	22	0 2 4
64.49	1.445	17	0 4 0
55.04	1.668	15	2 0 2
44.69	2.028	14	0 0 4
54.87	1.673	11	3 1 -1
55.21	1.664	10	1 3 -3
65.05	1.434	8	2 2 -6

=====

# 6
Calculated X-ray diffraction stick pattern
Compound: BaLaMnRuO6
Radiation: Cu Kα X-rays
Structure: a cell relaxed with PBE+U
Lines closer than 0.1° are merged.

Atomic structure:
```
data_BaLaMnRuO6
_chemical_formula_sum 'Ba4 La4 Mn4 Ru4 O24'
_cell_length_a 8.123
_cell_length_b 8.123
_cell_length_c 8.123
_cell_angle_alpha 90.00
_cell_angle_beta 90.00
_cell_angle_gamma 90.00
_symmetry_space_group_name_H-M 'F -4 3 m'
_symmetry_Int_Tables_number 216
_symmetry_space_group_name_Hall 'F -4 2 3'
loop_
_atom_site_label
_atom_site_type_symbol
_atom_site_fract_x
_atom_site_fract_y
_atom_site_fract_z
_atom_site_occupancy
Ba1 Ba 0.000 0.000 0.000 1
La1 La 0.000 0.000 0.500 1
Mn1 Mn 0.250 0.250 0.750 1
Ru1 Ru 0.250 0.250 0.250 1
O1 O 0.006 0.250 0.250 1
```

Main lines, most intense first (10 to 80 degrees two-theta):
two_theta	d/Å	Rel. int.	(hkl)
31.14	2.872	100	2 2 0
55.41	1.658	39	4 2 2
44.62	2.031	32	4 0 0
64.94	1.436	19	4 4 0
73.78	1.284	17	6 2 0
38.39	2.345	10	2 2 2
18.92	4.690	4	1 1 1
21.88	4.061	4	2 0 0
78.03	1.225	3	6 2 2
50.23	1.816	2	4 2 0

=====

# 7
Calculated X-ray diffraction stick pattern
Compound: BaLaMnRuO6
Radiation: Cu Kα X-rays
Structure: a cell relaxed with PBE+U
Lines closer than 0.1° are merged.

Atomic structure:
```
data_BaLaMnRuO6
_chemical_formula_sum 'Ba2 La2 Mn2 Ru2 O12'
_cell_length_a 9.903
_cell_length_b 5.775
_cell_length_c 5.788
_cell_angle_alpha 90.00
_cell_angle_beta 125.13
_cell_angle_gamma 90.00
_symmetry_space_group_name_H-M 'C 1 m 1'
_symmetry_Int_Tables_number 8
_symmetry_space_group_name_Hall 'C -2y'
loop_
_atom_site_label
_atom_site_type_symbol
_atom_site_fract_x
_atom_site_fract_y
_atom_site_fract_z
_atom_site_occupancy
Ba1 Ba 0.000 0.000 0.000 1
La1 La 0.000 0.500 0.482 1
Mn1 Mn 0.252 0.000 0.748 1
Ru1 Ru 0.250 0.500 0.250 1
O1 O 0.010 0.500 0.914 1
O2 O 0.206 0.273 0.463 1
O3 O 0.289 0.240 0.069 1
O4 O 0.489 0.500 0.538 1
```

Main lines, most intense first (10 to 80 degrees two-theta):
two_theta	d/Å	Rel. int.	(hkl)
30.95	2.889	100	1 1 1
31.21	2.866	50	3 1 -1
44.32	2.044	30	2 2 -2
55.28	1.662	21	5 1 -3
55.08	1.667	15	2 0 2
44.76	2.025	14	4 0 0
64.54	1.444	13	0 4 0
55.43	1.658	11	4 2 0
54.84	1.674	11	1 1 -3
73.12	1.294	8	1 3 -3

=====

# 8
Calculated X-ray diffraction stick pattern
Compound: Ba2La4Mn5SnO18
Radiation: Cu Kα X-rays
Structure: a cell relaxed with PBE+U
Lines closer than 0.1° are merged.

Atomic structure:
```
data_Ba2La4Mn5SnO18
_chemical_formula_sum 'Ba2 La4 Mn5 Sn1 O18'
_cell_length_a 5.621
_cell_length_b 5.687
_cell_length_c 12.651
_cell_angle_alpha 77.25
_cell_angle_beta 77.63
_cell_angle_gamma 89.95
_symmetry_space_group_name_H-M 'P 1'
_symmetry_Int_Tables_number 1
_symmetry_space_group_name_Hall 'P 1'
loop_
_atom_site_label
_atom_site_type_symbol
_atom_site_fract_x
_atom_site_fract_y
_atom_site_fract_z
_atom_site_occupancy
Ba1 Ba 0.000 0.000 0.000 1
Ba2 Ba 0.332 0.328 0.345 1
La1 La 0.166 0.168 0.673 1
La2 La 0.504 0.503 0.991 1
La3 La 0.667 0.674 0.673 1
La4 La 0.829 0.827 0.352 1
Mn1 Mn 0.087 0.589 0.832 1
Mn2 Mn 0.248 0.747 0.509 1
Mn3 Mn 0.416 0.913 0.173 1
Mn4 Mn 0.584 0.087 0.835 1
Mn5 Mn 0.747 0.246 0.512 1
Sn1 Sn 0.917 0.416 0.172 1
O1 O 0.005 0.471 0.999 1
O2 O 0.011 0.013 0.501 1
O3 O 0.120 0.107 0.198 1
O4 O 0.165 0.732 0.673 1
O5 O 0.223 0.645 0.146 1
O6 O 0.319 0.841 0.844 1
O7 O 0.326 0.796 0.349 1
O8 O 0.369 0.373 0.814 1
O9 O 0.465 0.463 0.537 1
O10 O 0.502 0.077 0.996 1
O11 O 0.539 0.970 0.496 1
O12 O 0.633 0.175 0.183 1
O13 O 0.665 0.109 0.675 1
O14 O 0.685 0.698 0.162 1
O15 O 0.793 0.792 0.849 1
O16 O 0.834 0.401 0.343 1
O17 O 0.870 0.332 0.808 1
O18 O 0.964 0.511 0.531 1
```

Main lines, most intense first (10 to 80 degrees two-theta):
two_theta	d/Å	Rel. int.	(hkl)
31.45	2.845	100	0 2 1
31.60	2.831	100	1 -1 3
45.37	1.999	62	2 2 2
31.84	2.810	51	2 0 1
31.73	2.820	50	1 1 4
56.11	1.639	32	-1 3 4
45.19	2.006	29	0 0 6
22.21	4.002	28	1 1 1
55.95	1.644	21	1 3 -1
56.39	1.632	20	-3 1 2